Computed XRD peak list
Compound: K2CdH4Se2O10
Radiation: Cu Ka
Structure: the GGA-PBE geometry in the Materials Project

Atomic structure:
Cell: 6.7086 7.6997 11.5907 Å, 72.15 74.46 70.04°
Space group P-1 (No. 2)
Asymmetric unit:
K  0.2020  0.2522  0.0989
K  0.2702  0.7333  0.4213
Cd  0.2484  0.0264  0.7513
H  0.1688  0.4153  0.7083
H  0.3016  0.6391  0.8430
H  0.3370  0.6886  0.6983
H  0.3527  0.3343  0.7928
Se  0.2611  0.7687  0.0754
Se  0.2625  0.2347  0.4159
O  0.0450  0.3969  0.3687
O  0.1213  0.6508  0.0464
O  0.1223  0.8793  0.1907
O  0.1809  0.0949  0.5520
O  0.2299  0.7200  0.7728
O  0.3047  0.3164  0.7239
O  0.3196  0.9392  0.9507
O  0.3789  0.0934  0.3152
O  0.4394  0.3366  0.4259
O  0.4948  0.6250  0.1162

Peak list (12 most intense, 15 to 90 degrees two-theta, by angle)
two_theta, d_spacing, intensity
15.38, 5.762, 97
22.99, 3.869, 84
23.81, 3.737, 60
26.17, 3.406, 100
26.75, 3.333, 29
28.79, 3.101, 87
29.27, 3.052, 29
30.81, 2.902, 63
32.44, 2.760, 20
32.83, 2.728, 22
46.45, 1.955, 28
50.48, 1.808, 19